Li4Cu3O6: computed powder XRD pattern (Cu Kα), based on a DFT-relaxed cell (PBE, the Materials Project).
Lines closer than 0.1° are merged.

Main lines, in order of rising 2θ (2θ from 15° to 90°):
2θ 18.29, rel. 53
2θ 26.89, rel. 100
2θ 33.40, rel. 14
2θ 42.79, rel. 31
2θ 45.46, rel. 23
2θ 56.64, rel. 28

Cell and atoms:
a b c (Å): 10.0955 3.5274 8.3761
angles (deg): 90.00 106.08 90.00
Space group Cm (No. 8)
Symmetry-distinct sites (fractional):
Li 0.0000 0.0000 0.0000
Li 0.0008 0.0000 0.6960
Li 0.0561 0.5000 0.5192
Li 0.0611 0.5000 0.2145
Cu 0.2753 0.0000 0.4368
Cu 0.2807 0.0000 0.1063
Cu 0.2826 0.0000 0.7778
O 0.1448 0.0000 0.2171
O 0.1471 0.0000 0.5736
O 0.1546 0.0000 0.8991
O 0.4077 0.0000 0.3124
O 0.4105 0.0000 0.6521
O 0.4132 0.0000 0.9886